Record 1
Simulated powder XRD pattern
Compound: InS2
Radiation: λ = 1.5418 Å (Cu Kα)
Structure: a GGA-PBE-relaxed structure
Kinematic intensities with the Lorentz-polarization factor, no thermal factor.

Cell and atoms:
abc: 6.152 6.152 3.960
angles: 90.00 90.00 90.00
Atoms (fractional coordinates):
In1 0.000 0.000 0.000
In2 0.500 0.500 0.500
S1 0.194 0.194 0.500
S2 0.306 0.694 0.000
S3 0.694 0.306 0.000
S4 0.806 0.806 0.500

Largest 12 diffraction maxima, by intensity, 2θ from 5° to 70°:
d/Å  I/Imax  h k l
4.350  100  1 1 0
2.260  80  2 1 1
3.330  57  1 0 1
1.821  33  3 0 1
2.175  24  2 2 0
1.802  17  1 1 2
2.928  16  1 1 1
1.946  13  3 1 0
1.464  13  2 2 2
1.980  12  0 0 2
1.396  12  4 1 1
3.076  11  2 0 0

Record 2
Simulated powder XRD pattern
Compound: HoSe2
Radiation: λ = 1.5418 Å (Cu Kα)
Structure: a GGA-PBE-relaxed structure
Kinematic intensities with the Lorentz-polarization factor, no thermal factor.

Cell and atoms:
abc: 4.057 4.057 8.311
angles: 90.00 90.00 90.00
Atoms (fractional coordinates):
Ho1 0.250 0.250 0.226
Ho2 0.750 0.750 0.774
Se1 0.250 0.250 0.870
Se2 0.250 0.750 0.500
Se3 0.750 0.250 0.500
Se4 0.750 0.750 0.130

Largest 12 diffraction maxima, by intensity, 2θ from 5° to 70°:
d/Å  I/Imax  h k l
2.361  100  1 1 2
2.712  65  1 1 1
2.288  61  1 0 3
3.646  57  1 0 1
2.029  57  2 0 0
2.869  39  1 1 0
1.518  34  2 1 3
2.770  31  0 0 3
1.637  25  2 0 3
1.435  19  2 2 0
1.773  16  2 1 1
1.538  15  1 0 5